Mo2HW: computed powder XRD pattern (CuKα), based on a structure optimized by DFT (GGA-PBE).
Peak positions follow from Bragg's law for the DFT cell and can differ from measured ones.

Main lines, sorted by position (2θ from 10° to 80°):
2θ/deg	Rel. int.	(hkl)
35.2	50	0 0 9
37.0	100	1 0 1
37.7	40	0 1 2
49.0	47	0 1 8
54.9	31	1 0 10
77.3	30	1 1 9

```
12
Lattice="2.8199 0.0000 0.0000 -1.4099 2.4421 0.0000 0.0000 0.0000 22.9473" Properties=species:S:1:pos:R:3 pbc="T T T"
Mo 0.0000 0.0000 2.5743
Mo 0.0000 0.0000 20.3731
Mo 0.0000 1.6281 12.7240
Mo 0.0000 1.6281 17.8724
Mo 1.4099 0.8140 5.0749
Mo 1.4099 0.8140 10.2233
H 0.0000 0.0000 11.4737
H 0.0000 1.6281 3.8246
H 1.4099 0.8140 19.1228
W 0.0000 0.0000 0.0000
W 0.0000 1.6281 15.2982
W 1.4099 0.8140 7.6491
```